# PrZnPd3
Simulated X-ray powder pattern, Cu Kα X-rays. Input: DFT lattice parameters and positions (PBE).
Lines closer than 0.1° are merged.

Largest 10 diffraction maxima, low angle first, 10° ≤ 2θ ≤ 90°:
2θ (°), Rel. int., h k l
29.3, 41, 0 0 4
34.4, 20, 2 0 1
36.8, 100, 2 0 2
40.5, 31, 2 0 3
45.2, 12, 2 0 4
50.7, 20, 2 0 5
57.0, 24, 2 0 6
60.1, 24, 2 2 0
68.3, 17, 2 2 4
72.6, 13, 4 0 2

```
data_PrZnPd3
_chemical_formula_sum 'Pr4 Zn4 Pd12'
_space_group_name_H-M_alt 'P 63/m m c'
_space_group_IT_number 194
_space_group_name_Hall '-P 6c 2c'
_cell_length_a 6.1583
_cell_length_b 6.1583
_cell_length_c 12.1892
_cell_angle_alpha 90.00
_cell_angle_beta 90.00
_cell_angle_gamma 120.00
loop_
_atom_site_label
_atom_site_type_symbol
_atom_site_fract_x
_atom_site_fract_y
_atom_site_fract_z
_atom_site_occupancy
Pr1 Pr 0.0000 0.0000 0.0000 1
Pr2 Pr 0.3333 0.6667 0.2500 1
Zn1 Zn 0.3333 0.6667 0.6386 1
Pd1 Pd 0.0000 0.5000 0.0000 1
Pd2 Pd 0.1416 0.2833 0.7500 1
```